Computed XRD peak list
Compound: PrNi2Ge2
Radiation: a wavelength of 1.5418 Å
Structure: the GGA-PBE geometry in the Materials Project
Peak positions follow from Bragg's law for the DFT cell and can differ from measured ones.

Most intense lines, 10° ≤ 2θ ≤ 90°, sorted by position:
30.36 deg, I 27, (1 1 0)
34.69 deg, I 100, (1 0 3)
35.48 deg, I 91, (1 1 2)
43.47 deg, I 69, (2 0 0)
51.08 deg, I 23, (1 0 5)
56.77 deg, I 48, (2 1 3)
63.17 deg, I 22, (2 2 0)
64.77 deg, I 22, (1 1 6)
69.28 deg, I 18, (2 1 5)
74.59 deg, I 19, (3 1 2)

Crystal structure
```
data_PrNi2Ge2
_cell_length_a 4.1632
_cell_length_b 4.1632
_cell_length_c 9.8995
_cell_angle_alpha 90.00
_cell_angle_beta 90.00
_cell_angle_gamma 90.00
_space_group_name_H-M_alt 'I 4/m m m'
_space_group_IT_number 139
_space_group_name_Hall '-I 4 2'
loop_
_atom_site_label
_atom_site_fract_x
_atom_site_fract_y
_atom_site_fract_z
_atom_site_occupancy
Pr1 0.0000 0.0000 0.0000 1
Ni1 0.0000 0.5000 0.2500 1
Ge1 0.0000 0.0000 0.3674 1
```

=====

Computed XRD peak list
Compound: Ce5Si3
Radiation: a wavelength of 1.5418 Å
Structure: the GGA-PBE geometry in the Materials Project
Peak positions follow from Bragg's law for the DFT cell and can differ from measured ones.

Most intense lines, 10° ≤ 2θ ≤ 90°, sorted by position:
26.65 deg, I 34, (2 1 1)
26.85 deg, I 31, (2 0 2)
32.71 deg, I 24, (2 2 0)
33.21 deg, I 100, (2 1 3)
36.24 deg, I 45, (2 0 4)
36.70 deg, I 39, (3 1 0)
42.01 deg, I 17, (0 0 6)
49.01 deg, I 17, (4 1 1)
53.21 deg, I 34, (4 1 3)
58.06 deg, I 17, (3 3 4)

Crystal structure
```
data_Ce5Si3
_cell_length_a 7.7443
_cell_length_b 7.7443
_cell_length_c 12.9039
_cell_angle_alpha 90.00
_cell_angle_beta 90.00
_cell_angle_gamma 90.00
_space_group_name_H-M_alt 'I 4/m c m'
_space_group_IT_number 140
_space_group_name_Hall '-I 4 2c'
loop_
_atom_site_label
_atom_site_fract_x
_atom_site_fract_y
_atom_site_fract_z
_atom_site_occupancy
Ce1 0.0000 0.0000 0.0000 1
Ce2 0.1807 0.3193 0.1541 1
Si1 0.0000 0.0000 0.2500 1
Si2 0.1139 0.3861 0.5000 1
```

=====

Computed XRD peak list
Compound: Er2Au5F21
Radiation: a wavelength of 1.5418 Å
Structure: the GGA-PBE geometry in the Materials Project
Peak positions follow from Bragg's law for the DFT cell and can differ from measured ones.

Most intense lines, 10° ≤ 2θ ≤ 90°, sorted by position:
22.23 deg, I 48, (1 2 0)
22.63 deg, I 47, (1 -2 0)
23.97 deg, I 34, (2 1 0)
24.08 deg, I 100, (0 1 3)
24.35 deg, I 46, (2 -1 0)
24.67 deg, I 32, (0 2 -2)
24.94 deg, I 42, (1 0 -3)
26.37 deg, I 30, (2 0 2)
26.87 deg, I 58, (1 1 -3)
27.07 deg, I 55, (-1 2 2)

Crystal structure
```
data_Er2Au5F21
_cell_length_a 8.0587
_cell_length_b 9.1102
_cell_length_c 12.0577
_cell_angle_alpha 89.17
_cell_angle_beta 88.85
_cell_angle_gamma 88.79
_space_group_name_H-M_alt 'P -1'
_space_group_IT_number 2
_space_group_name_Hall '-P 1'
loop_
_atom_site_label
_atom_site_fract_x
_atom_site_fract_y
_atom_site_fract_z
_atom_site_occupancy
Er1 0.1646 0.1820 0.0006 1
Er2 0.1715 0.3170 0.4960 1
Au1 0.0588 0.5085 0.7905 1
Au2 0.0591 0.9853 0.7042 1
Au3 0.3262 0.7228 0.4046 1
Au4 0.3367 0.7758 0.0935 1
Au5 0.4808 0.7503 0.7550 1
F1 0.0000 0.0000 0.0000 1
F2 0.0000 0.5000 0.5000 1
F3 0.0234 0.1323 0.4185 1
F4 0.0559 0.3879 0.0871 1
F5 0.0832 0.7353 0.3851 1
F6 0.0836 0.1199 0.1879 1
F7 0.0881 0.3852 0.3121 1
F8 0.0949 0.7426 0.0883 1
F9 0.1600 0.1044 0.8184 1
F10 0.1883 0.4070 0.6732 1
F11 0.2003 0.0923 0.5965 1
F12 0.2004 0.3997 0.8965 1
F13 0.3007 0.7294 0.8632 1
F14 0.3150 0.7556 0.6405 1
F15 0.3228 0.9768 0.0260 1
F16 0.3281 0.5128 0.4554 1
F17 0.3317 0.9213 0.3455 1
F18 0.3432 0.2253 0.3611 1
F19 0.3579 0.5856 0.1667 1
F20 0.3594 0.2555 0.1210 1
F21 0.4227 0.1972 0.8983 1
F22 0.4315 0.2784 0.5760 1
```

=====

Computed XRD peak list
Compound: CdTe
Radiation: a wavelength of 1.5418 Å
Structure: the GGA-PBE geometry in the Materials Project
Peak positions follow from Bragg's law for the DFT cell and can differ from measured ones.

Most intense lines, 10° ≤ 2θ ≤ 90°, sorted by position:
29.78 deg, I 100, (2 0 0)
31.96 deg, I 83, (1 0 1)
42.62 deg, I 37, (2 2 0)
44.25 deg, I 67, (2 1 1)
54.25 deg, I 18, (3 0 1)
62.64 deg, I 23, (1 1 2)
63.12 deg, I 22, (3 2 1)
70.15 deg, I 16, (4 2 0)
71.34 deg, I 16, (4 1 1)
78.73 deg, I 24, (3 1 2)

Crystal structure
```
data_CdTe
_cell_length_a 5.9994
_cell_length_b 5.9994
_cell_length_c 3.1660
_cell_angle_alpha 90.00
_cell_angle_beta 90.00
_cell_angle_gamma 90.00
_space_group_name_H-M_alt 'I -4 m 2'
_space_group_IT_number 119
_space_group_name_Hall 'I -4 -2'
loop_
_atom_site_label
_atom_site_fract_x
_atom_site_fract_y
_atom_site_fract_z
_atom_site_occupancy
Cd1 0.0000 0.0000 0.0000 1
Te1 0.0000 0.5000 0.2500 1
```

=====

Computed XRD peak list
Compound: BeAlRh2
Radiation: a wavelength of 1.5418 Å
Structure: the GGA-PBE geometry in the Materials Project
Peak positions follow from Bragg's law for the DFT cell and can differ from measured ones.

Most intense lines, 10° ≤ 2θ ≤ 90°, sorted by position:
26.54 deg, I 2, (1 1 1)
30.74 deg, I 73, (2 0 0)
44.03 deg, I 100, (2 2 0)
52.15 deg, I 1, (3 1 1)
54.66 deg, I 19, (2 2 2)
64.03 deg, I 16, (4 0 0)
72.70 deg, I 23, (4 2 0)
80.98 deg, I 33, (4 2 2)

Crystal structure
```
data_BeAlRh2
_cell_length_a 5.8165
_cell_length_b 5.8165
_cell_length_c 5.8165
_cell_angle_alpha 90.00
_cell_angle_beta 90.00
_cell_angle_gamma 90.00
_space_group_name_H-M_alt 'F m -3 m'
_space_group_IT_number 225
_space_group_name_Hall '-F 4 2 3'
loop_
_atom_site_label
_atom_site_fract_x
_atom_site_fract_y
_atom_site_fract_z
_atom_site_occupancy
Be1 0.0000 0.0000 0.0000 1
Al1 0.0000 0.0000 0.5000 1
Rh1 0.2500 0.2500 0.2500 1
```

=====

Computed XRD peak list
Compound: Rb12CaCl4O4
Radiation: a wavelength of 1.5418 Å
Structure: the GGA-PBE geometry in the Materials Project
Peak positions follow from Bragg's law for the DFT cell and can differ from measured ones.

Most intense lines, 10° ≤ 2θ ≤ 90°, sorted by position:
25.88 deg, I 14, (1 0 2)
26.11 deg, I 17, (1 3 0)
26.60 deg, I 36, (0 2 2)
27.52 deg, I 100, (2 2 0)
27.76 deg, I 13, (2 1 1)
30.36 deg, I 17, (1 2 2)
31.51 deg, I 23, (0 4 0)
33.36 deg, I 19, (0 1 3)
37.30 deg, I 19, (3 0 -2)
49.59 deg, I 14, (3 4 -2)

Crystal structure
```
data_Rb12CaCl4O4
_cell_length_a 7.9971
_cell_length_b 11.3557
_cell_length_c 8.4185
_cell_angle_alpha 90.00
_cell_angle_beta 99.62
_cell_angle_gamma 90.00
_space_group_name_H-M_alt 'P 1 m 1'
_space_group_IT_number 6
_space_group_name_Hall 'P -2y'
loop_
_atom_site_label
_atom_site_fract_x
_atom_site_fract_y
_atom_site_fract_z
_atom_site_occupancy
Rb1 0.0000 0.0000 0.0000 1
Rb2 0.1108 0.5000 0.0897 1
Rb3 0.2830 0.2188 0.3457 1
Rb4 0.3201 0.1988 0.8888 1
Rb5 0.4032 0.5000 0.6444 1
Rb6 0.6464 0.0000 0.5444 1
Rb7 0.7917 0.2366 0.2090 1
Rb8 0.8376 0.2996 0.7352 1
Ca1 0.6515 0.5000 0.3650 1
Cl1 0.0074 0.5000 0.4565 1
Cl2 0.0550 0.0000 0.5502 1
Cl3 0.4776 0.0000 0.1735 1
Cl4 0.5967 0.5000 0.0249 1
O1 0.0595 0.2500 0.0386 1
O2 0.5727 0.3437 0.4695 1
```